(1)
# FeMo2H7O11
Computed X-ray diffraction stick pattern, λ = 1.5418 Å (Cu Kα). Input: a structure optimized by DFT (PBE+U).
Intensities are scaled so that the largest is 100.

Crystal structure
a b c (Å): 5.865 6.281 7.917
angles (deg): 98.55 110.27 110.38
Element x y z (fractional)
1 Fe 0.000 0.000 0.000
2 Mo 0.355 0.967 0.725
3 Mo 0.678 0.083 0.304
4 H 0.005 0.725 0.226
5 H 0.274 0.355 0.915
6 H 0.554 0.625 0.422
7 H 0.580 0.648 0.641
8 H 0.663 0.448 0.540
9 H 0.795 0.539 0.010
10 H 0.979 0.292 0.775
11 O 0.090 0.305 0.908
12 O 0.094 0.848 0.804
13 O 0.202 0.881 0.477
14 O 0.388 0.132 0.175
15 O 0.510 0.282 0.822
16 O 0.536 0.528 0.517
17 O 0.581 0.784 0.304
18 O 0.616 0.852 0.800
19 O 0.831 0.283 0.540
20 O 0.901 0.150 0.187
21 O 0.930 0.703 0.089

The 6 most intense peaks (2θ from 10° to 90°), by angle:
15.81°, rel. 100
23.62°, rel. 30
23.82°, rel. 30
25.99°, rel. 37
28.71°, rel. 42
30.80°, rel. 26

---

(2)
# FeMo2H7O11
Computed X-ray diffraction stick pattern, λ = 1.5418 Å (Cu Kα). Input: a structure optimized by DFT (PBE+U).
Intensities are scaled so that the largest is 100.

Crystal structure
a b c (Å): 5.851 6.174 7.931
angles (deg): 98.40 110.75 105.84
Element x y z (fractional)
1 Fe 0.000 0.000 0.000
2 Mo 0.340 0.966 0.718
3 Mo 0.672 0.083 0.299
4 H 0.014 0.579 0.047
5 H 0.051 0.747 0.240
6 H 0.242 0.361 0.912
7 H 0.562 0.638 0.426
8 H 0.595 0.665 0.647
9 H 0.659 0.444 0.540
10 H 0.953 0.295 0.772
11 O 0.064 0.321 0.909
12 O 0.098 0.850 0.809
13 O 0.192 0.865 0.472
14 O 0.385 0.144 0.168
15 O 0.442 0.270 0.788
16 O 0.545 0.546 0.524
17 O 0.579 0.785 0.296
18 O 0.630 0.872 0.806
19 O 0.806 0.266 0.535
20 O 0.899 0.143 0.189
21 O 0.969 0.708 0.100

The 6 most intense peaks (2θ from 10° to 90°), by angle:
15.49°, rel. 100
23.75°, rel. 29
24.17°, rel. 26
25.25°, rel. 40
28.83°, rel. 22
31.31°, rel. 24

---

(3)
# FeH8S2NO10
Computed X-ray diffraction stick pattern, λ = 1.5418 Å (Cu Kα). Input: a structure optimized by DFT (PBE+U).
Intensities are scaled so that the largest is 100.

Crystal structure
a b c (Å): 4.617 5.698 8.887
angles (deg): 100.25 97.61 99.72
Element x y z (fractional)
1 Fe 0.000 0.000 0.000
2 H 0.020 0.647 0.167
3 H 0.085 0.187 0.570
4 H 0.182 0.917 0.521
5 H 0.328 0.683 0.094
6 H 0.672 0.319 0.912
7 H 0.830 0.927 0.548
8 H 0.953 0.016 0.391
9 H 0.974 0.353 0.835
10 S 0.381 0.719 0.765
11 S 0.614 0.283 0.232
12 N 0.011 0.011 0.506
13 O 0.155 0.754 0.113
14 O 0.196 0.903 0.817
15 O 0.200 0.470 0.735
16 O 0.373 0.262 0.092
17 O 0.492 0.227 0.366
18 O 0.493 0.776 0.627
19 O 0.630 0.735 0.899
20 O 0.796 0.530 0.260
21 O 0.803 0.094 0.184
22 O 0.839 0.244 0.886

The 6 most intense peaks (2θ from 10° to 90°), by angle:
10.26°, rel. 100
17.26°, rel. 72
23.84°, rel. 28
25.23°, rel. 41
28.04°, rel. 23
31.06°, rel. 30

---

(4)
# Fe3H10S2NO14
Computed X-ray diffraction stick pattern, λ = 1.5418 Å (Cu Kα). Input: a structure optimized by DFT (PBE+U).
Intensities are scaled so that the largest is 100.

Crystal structure
a b c (Å): 7.314 7.314 7.314
angles (deg): 61.14 61.14 61.14
Element x y z (fractional)
1 Fe 0.000 0.500 0.500
2 Fe 0.500 0.000 0.500
3 Fe 0.500 0.500 0.000
4 H 0.201 0.201 0.778
5 H 0.201 0.778 0.201
6 H 0.217 0.814 0.814
7 H 0.373 0.596 0.596
8 H 0.444 0.444 0.444
9 H 0.596 0.373 0.596
10 H 0.596 0.596 0.373
11 H 0.778 0.201 0.201
12 H 0.814 0.217 0.814
13 H 0.814 0.814 0.217
14 S 0.196 0.196 0.196
15 S 0.805 0.805 0.805
16 N 0.501 0.501 0.501
17 O 0.005 0.334 0.334
18 O 0.113 0.113 0.113
19 O 0.235 0.235 0.619
20 O 0.235 0.619 0.235
21 O 0.334 0.005 0.334
22 O 0.334 0.334 0.005
23 O 0.379 0.765 0.765
24 O 0.619 0.235 0.235
25 O 0.667 0.667 0.996
26 O 0.667 0.996 0.667
27 O 0.765 0.379 0.765
28 O 0.765 0.765 0.379
29 O 0.888 0.888 0.888
30 O 0.996 0.667 0.667

The 6 most intense peaks (2θ from 10° to 90°), by angle:
14.97°, rel. 40
17.00°, rel. 100
28.15°, rel. 91
28.34°, rel. 97
44.90°, rel. 33
48.98°, rel. 36